Record 1
The following is a computed powder XRD pattern of MgTi3Fe2CoP6O24. It was derived from a GGA+U-relaxed structure, using Cu Ka.
No peak broadening, texture or thermal motion is included.

Top 12 peaks for 15° ≤ 2θ ≤ 90°, in order of falling intensity:
Position (°2θ), intensity
20.17, 100
23.93, 60
24.06, 57
23.83, 56
20.47, 52
35.66, 43
24.18, 31
35.13, 25
47.01, 19
41.76, 16
55.79, 16
55.96, 15

Atomic structure:
a = 8.6211 Å, b = 8.6505 Å, c = 8.6586 Å
α = 61.18°, β = 60.31°, γ = 61.31°
Positions (direct):
Mg 0.0000 0.0000 0.0000
Ti 0.1470 0.1440 0.1421
Ti 0.3493 0.3591 0.3453
Ti 0.6477 0.6413 0.6161
Fe 0.4888 0.5028 0.4910
Fe 0.8711 0.8668 0.8600
Co 0.6981 0.7525 0.7926
P 0.0367 0.7508 0.4386
P 0.2529 0.5451 0.9515
P 0.4424 0.0620 0.7403
P 0.5419 0.9621 0.2444
P 0.7563 0.4415 0.0470
P 0.9547 0.2500 0.5395
O 0.0016 0.1726 0.3887
O 0.0607 0.9126 0.2492
O 0.1018 0.7373 0.9487
O 0.1058 0.3350 0.4776
O 0.1820 0.3882 0.0000
O 0.2336 0.5966 0.4262
O 0.2515 0.0643 0.9037
O 0.3354 0.4908 0.1002
O 0.3910 0.0010 0.1720
O 0.4100 0.5601 0.7521
O 0.4207 0.2523 0.5828
O 0.4785 0.1141 0.3272
O 0.4978 0.8941 0.6748
O 0.5514 0.7654 0.4019
O 0.5894 0.4283 0.2374
O 0.6031 0.0222 0.7984
O 0.6986 0.4920 0.8766
O 0.7385 0.9573 0.0957
O 0.7572 0.4062 0.5497
O 0.8151 0.6034 0.0055
O 0.8884 0.6839 0.4545
O 0.9118 0.2511 0.0605
O 0.9499 0.1035 0.7336
O 0.9623 0.8042 0.6125

---

Record 2
The following is a computed powder XRD pattern of LiMn3O2F6. It was derived from a GGA+U-relaxed structure, using Cu Ka.
No peak broadening, texture or thermal motion is included.

Top 12 peaks for 15° ≤ 2θ ≤ 90°, in order of falling intensity:
Position (°2θ), intensity
26.52, 100
39.97, 31
52.44, 30
34.99, 28
54.60, 19
52.51, 16
15.83, 15
52.67, 15
20.54, 14
66.33, 13
60.90, 10
17.29, 10

Atomic structure:
a = 5.6223 Å, b = 4.7700 Å, c = 10.2967 Å
α = 90.00°, β = 95.18°, γ = 90.00°
Positions (direct):
Li 0.0000 0.0000 0.0000
Li 0.0000 0.5000 0.5000
Mn 0.2652 0.0204 0.7506
Mn 0.2652 0.4796 0.2506
Mn 0.5000 0.0000 0.5000
Mn 0.5000 0.5000 0.0000
Mn 0.7348 0.5204 0.7494
Mn 0.7348 0.9796 0.2494
O 0.4955 0.1706 0.3292
O 0.4955 0.3294 0.8292
O 0.5045 0.6706 0.1708
O 0.5045 0.8294 0.6708
F 0.0019 0.7077 0.6803
F 0.0019 0.7923 0.1803
F 0.2143 0.2031 0.5752
F 0.2143 0.2969 0.0752
F 0.2860 0.6880 0.4209
F 0.2860 0.8120 0.9209
F 0.7140 0.1880 0.0791
F 0.7140 0.3120 0.5791
F 0.7857 0.7031 0.9248
F 0.7857 0.7969 0.4248
F 0.9981 0.2077 0.8197
F 0.9981 0.2923 0.3197

---

Record 3
The following is a computed powder XRD pattern of Ti3Fe2SbP6O24. It was derived from a GGA+U-relaxed structure, using Cu Ka.
No peak broadening, texture or thermal motion is included.

Top 12 peaks for 15° ≤ 2θ ≤ 90°, in order of falling intensity:
Position (°2θ), intensity
23.85, 100
20.15, 94
32.66, 83
35.27, 44
48.83, 31
46.77, 29
55.13, 26
61.66, 23
31.29, 16
24.82, 16
43.95, 15
20.53, 15

Atomic structure:
a = 8.6568 Å, b = 8.6568 Å, c = 8.6568 Å
α = 61.21°, β = 61.21°, γ = 61.21°
Positions (direct):
Ti 0.0000 0.0000 0.0000
Ti 0.2092 0.2092 0.2092
Ti 0.7078 0.7078 0.7078
Fe 0.3538 0.3538 0.3538
Fe 0.8549 0.8549 0.8549
Sb 0.5001 0.5001 0.5001
P 0.0929 0.8183 0.3976
P 0.3009 0.6045 0.9105
P 0.3976 0.0929 0.8183
P 0.6045 0.9105 0.3009
P 0.8183 0.3976 0.0929
P 0.9105 0.3009 0.6045
O 0.0148 0.8778 0.2435
O 0.1024 0.2914 0.4462
O 0.1101 0.7664 0.9306
O 0.1670 0.9706 0.3550
O 0.2435 0.0148 0.8778
O 0.2434 0.6247 0.3993
O 0.2914 0.4462 0.1024
O 0.3185 0.5404 0.7654
O 0.3550 0.1670 0.9706
O 0.3993 0.2434 0.6247
O 0.4462 0.1024 0.2914
O 0.4702 0.6637 0.8518
O 0.5404 0.7654 0.3185
O 0.5921 0.9366 0.8042
O 0.6247 0.3993 0.2434
O 0.6637 0.8518 0.4702
O 0.7654 0.3185 0.5404
O 0.7664 0.9306 0.1101
O 0.8042 0.5921 0.9366
O 0.8518 0.4702 0.6637
O 0.8778 0.2435 0.0148
O 0.9306 0.1101 0.7664
O 0.9366 0.8042 0.5921
O 0.9706 0.3550 0.1670